For MgCuMoF6, a cell relaxed with PBE+U gives the calculated powder XRD pattern in this record (λ = 1.5418 Å (Cu Kα)).

a = 5.4852 Å, b = 5.4852 Å, c = 9.2125 Å
α = 90.00°, β = 90.00°, γ = 120.00°
Space group P-31c (No. 163)
Symmetry-distinct sites (fractional):
Mg: 0.3333 0.6667 0.2500 (multiplicity 2)
Cu: 0.0000 0.0000 0.0000 (multiplicity 2)
Mo: 0.3333 0.6667 0.7500 (multiplicity 2)
F: 0.0121 0.3587 0.1355 (multiplicity 12)

The 8 most intense peaks (15 to 90 degrees two-theta), by intensity:
d [Å], I/Imax, hkl
3.307, 100, 1 0 2
1.764, 61, 1 1 4
4.222, 36, 1 0 1
2.743, 31, 1 1 0
2.111, 26, 2 0 2
2.357, 26, 1 1 2
1.583, 26, 3 0 0
1.673, 26, 2 1 2